1.
Structure and simulated X-ray powder pattern of La8Tb3Pm4 (a DFT-relaxed cell (PBE, Alexandria); Cu Kα, 1.54184 Å).
Intensities are scaled so that the largest is 100.

Crystal structure
```
data_La8Tb3Pm4
_chemical_formula_sum 'La8 Tb3 Pm4'
_cell_length_a 12.8792
_cell_length_b 12.8792
_cell_length_c 12.8792
_cell_angle_alpha 32.08
_cell_angle_beta 32.08
_cell_angle_gamma 32.08
_symmetry_space_group_name_H-M 'P 1'
_symmetry_Int_Tables_number 1
_symmetry_space_group_name_Hall 'P 1'
loop_
_atom_site_label
_atom_site_fract_x
_atom_site_fract_y
_atom_site_fract_z
La1 0.2467 0.2467 0.2467
La2 0.2513 0.2513 0.7486
La3 0.2513 0.7486 0.2513
La4 0.2514 0.7487 0.7487
La5 0.7486 0.2513 0.2513
La6 0.7487 0.2514 0.7487
La7 0.7487 0.7487 0.2514
La8 0.7533 0.7533 0.7533
Tb1 0.0000 0.0000 0.5000
Tb2 0.0000 0.5000 0.0000
Tb3 0.5000 0.0000 0.0000
Pm1 0.0000 0.0000 0.0000
Pm2 0.3348 0.3348 0.3348
Pm3 0.5000 0.5000 0.5000
Pm4 0.6652 0.6652 0.6652
```

Most intense lines, 10 to 90 degrees two-theta, by angle:
two_theta  Rel. int.
26.09  19.7
29.07  29.6
29.27  59.4
30.61  100.0
35.11  71.5
49.62  24.9
51.36  37.6
58.66  17.9
60.21  47.1
83.46  17.8

2.
Structure and simulated X-ray powder pattern of Tb3AgTe (a DFT-relaxed cell (PBE, Alexandria); Cu Kα, 1.54184 Å).
Intensities are scaled so that the largest is 100.

Crystal structure
```
data_Tb3AgTe
_chemical_formula_sum 'Tb6 Ag2 Te2'
_cell_length_a 3.9720
_cell_length_b 6.9690
_cell_length_c 10.4295
_cell_angle_alpha 90.00
_cell_angle_beta 90.00
_cell_angle_gamma 90.00
_symmetry_space_group_name_H-M 'P 1'
_symmetry_Int_Tables_number 1
_symmetry_space_group_name_Hall 'P 1'
loop_
_atom_site_label
_atom_site_fract_x
_atom_site_fract_y
_atom_site_fract_z
Tb1 0.2500 0.0009 0.1842
Tb2 0.2500 0.2500 0.5836
Tb3 0.2500 0.4991 0.1842
Tb4 0.7500 0.5009 0.8158
Tb5 0.7500 0.7500 0.4164
Tb6 0.7500 0.9991 0.8158
Ag1 0.2500 0.2500 0.9461
Ag2 0.7500 0.7500 0.0539
Te1 0.2500 0.7500 0.6463
Te2 0.7500 0.2500 0.3537
```

Most intense lines, 10 to 90 degrees two-theta, by angle:
two_theta  Rel. int.
26.98  21.3
28.24  61.8
30.86  34.1
31.08  21.8
34.28  34.6
35.33  100.0
36.51  40.3
45.68  24.0
59.84  19.0
64.27  22.3

3.
Structure and simulated X-ray powder pattern of CeFeOs (a DFT-relaxed cell (PBE, Alexandria); Cu Kα, 1.54184 Å).
Intensities are scaled so that the largest is 100.

Crystal structure
```
data_CeFeOs
_chemical_formula_sum 'Ce2 Fe2 Os2'
_cell_length_a 5.2934
_cell_length_b 5.2934
_cell_length_c 5.2934
_cell_angle_alpha 125.09
_cell_angle_beta 116.44
_cell_angle_gamma 88.84
_symmetry_space_group_name_H-M 'P 1'
_symmetry_Int_Tables_number 1
_symmetry_space_group_name_Hall 'P 1'
loop_
_atom_site_label
_atom_site_fract_x
_atom_site_fract_y
_atom_site_fract_z
Ce1 0.3750 0.1250 0.2500
Ce2 0.6250 0.8750 0.7500
Fe1 0.0000 0.0000 0.5000
Fe2 0.0000 0.5000 0.0000
Os1 0.0000 0.5000 0.5000
Os2 0.5000 0.5000 0.0000
```

Most intense lines, 10 to 90 degrees two-theta, by angle:
two_theta  Rel. int.
21.67  20.9
23.53  17.9
34.03  34.8
36.83  25.7
39.07  100.0
40.24  80.2
42.15  24.4
44.17  26.2
67.84  19.9
71.65  30.1